Diffraction record for Si4WO10. The X-ray diffraction stick pattern is simulated, not measured: it uses DFT lattice parameters and positions (PBE+U) and Cu Kα.
Peak positions follow from Bragg's law for the DFT cell and can differ from measured ones.

Largest 10 diffraction maxima, by intensity, 2θ = 10–80°:
Position (°2θ)  intensity  hkl
28.1  100  2 1 2
16.3  91  1 1 0
15.6  75  1 0 2
24.1  63  1 0 4
21.1  52  0 0 4
25.5  28  2 0 2
26.8  26  1 1 4
33.0  24  2 2 0
44.6  23  1 0 8
47.9  20  3 2 4

Structure:
abc: 7.6696 7.6696 16.8407
angles: 90.00 90.00 90.00
Fractional positions:
Si 0.0359 0.0560 0.1583
Si 0.0359 0.4440 0.6583
Si 0.0560 0.0359 0.6583
Si 0.0560 0.4641 0.1583
Si 0.4440 0.0359 0.1583
Si 0.4440 0.4641 0.6583
Si 0.4641 0.0560 0.6583
Si 0.4641 0.4440 0.1583
Si 0.5359 0.5560 0.8417
Si 0.5359 0.9440 0.3417
Si 0.5560 0.5359 0.3417
Si 0.5560 0.9641 0.8417
Si 0.9440 0.5359 0.8417
Si 0.9440 0.9641 0.3417
Si 0.9641 0.5560 0.3417
Si 0.9641 0.9440 0.8417
W 0.2500 0.2500 0.4080
W 0.2500 0.2500 0.9080
W 0.7500 0.7500 0.0920
W 0.7500 0.7500 0.5920
O 0.0044 0.2380 0.6407
O 0.0044 0.2620 0.1407
O 0.0126 0.5126 0.2500
O 0.0126 0.9874 0.7500
O 0.0585 0.0905 0.3993
O 0.0585 0.4095 0.8993
O 0.0905 0.0585 0.8993
O 0.0905 0.4415 0.3993
O 0.2380 0.0044 0.1407
O 0.2380 0.4956 0.6407
O 0.2620 0.0044 0.6407
O 0.2620 0.4956 0.1407
O 0.4095 0.0585 0.3993
O 0.4095 0.4415 0.8993
O 0.4415 0.0905 0.8993
O 0.4415 0.4095 0.3993
O 0.4874 0.5126 0.7500
O 0.4874 0.9874 0.2500
O 0.4956 0.2380 0.1407
O 0.4956 0.2620 0.6407
O 0.5044 0.7380 0.3593
O 0.5044 0.7620 0.8593
O 0.5126 0.0126 0.7500
O 0.5126 0.4874 0.2500
O 0.5585 0.5905 0.6007
O 0.5585 0.9095 0.1007
O 0.5905 0.5585 0.1007
O 0.5905 0.9415 0.6007
O 0.7380 0.5044 0.8593
O 0.7380 0.9956 0.3593
O 0.7620 0.5044 0.3593
O 0.7620 0.9956 0.8593
O 0.9095 0.5585 0.6007
O 0.9095 0.9415 0.1007
O 0.9415 0.5905 0.1007
O 0.9415 0.9095 0.6007
O 0.9874 0.0126 0.2500
O 0.9874 0.4874 0.7500
O 0.9956 0.7380 0.8593
O 0.9956 0.7620 0.3593